1.
Structure and computed powder XRD pattern of Sm2Ge2O7 (the PBE geometry in the Materials Project; Cu Kα (weighted mean of Kα1 and Kα2)).
Kinematic intensities with the Lorentz-polarization factor, no thermal factor.

Largest 6 diffraction maxima, by angle, 2θ from 10° to 80°:
| 2theta | d [Å] | I_rel |
| --- | --- | --- |
| 28.43 | 3.139 | 100.0 |
| 28.55 | 3.126 | 41.5 |
| 29.06 | 3.073 | 40.4 |
| 29.23 | 3.055 | 30.1 |
| 30.47 | 2.933 | 36.7 |
| 31.83 | 2.811 | 28.7 |

Structure:
```
data_Sm2Ge2O7
_cell_length_a 6.9373
_cell_length_b 6.9569
_cell_length_c 12.5865
_cell_angle_alpha 93.81
_cell_angle_beta 91.59
_cell_angle_gamma 91.82
_symmetry_space_group_name_H-M 'P -1'
_symmetry_Int_Tables_number 2
loop_
_symmetry_equiv_pos_as_xyz
'x,y,z'
'-x,-y,-z'
loop_
_atom_site_label
_atom_site_type_symbol
_atom_site_fract_x
_atom_site_fract_y
_atom_site_fract_z
Sm1 Sm 0.0519 0.3294 0.1138
Sm2 Sm 0.1157 0.0823 0.3584
Sm3 Sm 0.3202 0.8316 0.1133
Sm4 Sm 0.3669 0.2367 0.6286
Ge1 Ge 0.1454 0.6161 0.3808
Ge2 Ge 0.1637 0.1482 0.8836
Ge3 Ge 0.3812 0.7356 0.5995
Ge4 Ge 0.4866 0.6701 0.8332
O1 O 0.0037 0.6657 0.0809
O2 O 0.0081 0.0155 0.1835
O3 O 0.0363 0.2263 0.5736
O4 O 0.0693 0.4033 0.3082
O5 O 0.2242 0.9221 0.6229
O6 O 0.2469 0.0992 0.0117
O7 O 0.2930 0.7193 0.9157
O8 O 0.2928 0.7843 0.3144
O9 O 0.2983 0.5596 0.4931
O10 O 0.3481 0.4932 0.1210
O11 O 0.3606 0.2123 0.8097
O12 O 0.3816 0.1341 0.2165
O13 O 0.3924 0.5653 0.7000
O14 O 0.4062 0.1612 0.4483
```

2.
Structure and computed powder XRD pattern of Sm2Ge2O7 (the PBE geometry in the Materials Project; Cu Kα (weighted mean of Kα1 and Kα2)).
Kinematic intensities with the Lorentz-polarization factor, no thermal factor.

Largest 6 diffraction maxima, by angle, 2θ from 10° to 80°:
| 2theta | d [Å] | I_rel |
| --- | --- | --- |
| 15.07 | 5.877 | 10.3 |
| 30.42 | 2.939 | 100.0 |
| 35.27 | 2.545 | 31.6 |
| 38.55 | 2.335 | 10.4 |
| 50.73 | 1.800 | 46.4 |
| 60.31 | 1.535 | 42.4 |

Structure:
abc: 10.1800 10.1800 10.1800
angles: 90.00 90.00 90.00
Space group Fd-3m (No. 227, origin choice 2)
One atom of each set of equivalent atoms:
Sm1 0.0000 0.0000 0.0000 [16 per cell]
Ge1 0.0000 0.0000 0.5000 [16 per cell]
O1 0.0758 0.3750 0.8750 [48 per cell]
O2 0.1250 0.1250 0.1250 [8 per cell]

3.
Structure and computed powder XRD pattern of Sm2Ge2O7 (the PBE geometry in the Materials Project; Cu Kα (weighted mean of Kα1 and Kα2)).
Kinematic intensities with the Lorentz-polarization factor, no thermal factor.

Largest 6 diffraction maxima, by angle, 2θ from 10° to 80°:
| 2theta | d [Å] | I_rel |
| --- | --- | --- |
| 26.45 | 3.369 | 84.4 |
| 28.03 | 3.183 | 81.6 |
| 29.43 | 3.035 | 46.5 |
| 31.90 | 2.805 | 100.0 |
| 33.21 | 2.697 | 41.3 |
| 47.45 | 1.916 | 42.9 |

Structure:
```
data_Sm2Ge2O7
_cell_length_a 6.9873
_cell_length_b 6.9873
_cell_length_c 12.7336
_cell_angle_alpha 90.00
_cell_angle_beta 90.00
_cell_angle_gamma 90.00
_symmetry_space_group_name_H-M 'P 41 21 2'
_symmetry_Int_Tables_number 92
loop_
_symmetry_equiv_pos_as_xyz
'x,y,z'
'-y+1/2,x+1/2,z+1/4'
'-x,-y,z+1/2'
'y+1/2,-x+1/2,z+3/4'
'x+1/2,-y+1/2,-z+3/4'
'-y,-x,-z+1/2'
'-x+1/2,y+1/2,-z+1/4'
'y,x,-z'
loop_
_atom_site_label
_atom_site_type_symbol
_atom_site_fract_x
_atom_site_fract_y
_atom_site_fract_z
Sm1 Sm 0.1226 0.3502 0.1154
Ge1 Ge 0.0983 0.1543 0.6288
O1 O 0.0268 0.0756 0.8752
O2 O 0.0621 0.6633 0.1779
O3 O 0.1431 0.3095 0.2964
O4 O 0.1966 0.1966 0.5000
```

4.
Structure and computed powder XRD pattern of Sm2Ge2O7 (the PBE geometry in the Materials Project; Cu Kα (weighted mean of Kα1 and Kα2)).
Kinematic intensities with the Lorentz-polarization factor, no thermal factor.

Largest 6 diffraction maxima, by angle, 2θ from 10° to 80°:
| 2theta | d [Å] | I_rel |
| --- | --- | --- |
| 25.87 | 3.444 | 34.6 |
| 26.18 | 3.404 | 100.0 |
| 27.89 | 3.199 | 57.3 |
| 31.25 | 2.862 | 28.6 |
| 31.73 | 2.820 | 42.4 |
| 50.81 | 1.797 | 21.7 |

Structure:
```
data_Sm2Ge2O7
_cell_length_a 7.2067
_cell_length_b 9.3950
_cell_length_c 5.0481
_cell_angle_alpha 90.00
_cell_angle_beta 101.92
_cell_angle_gamma 90.00
_symmetry_space_group_name_H-M 'C 1 2/m 1'
_symmetry_Int_Tables_number 12
loop_
_symmetry_equiv_pos_as_xyz
'x,y,z'
'-x,-y,-z'
'-x,y,-z'
'x,-y,z'
'x+1/2,y+1/2,z'
'-x+1/2,-y+1/2,-z'
'-x+1/2,y+1/2,-z'
'x+1/2,-y+1/2,z'
loop_
_atom_site_label
_atom_site_type_symbol
_atom_site_fract_x
_atom_site_fract_y
_atom_site_fract_z
Sm1 Sm 0.0000 0.1958 0.0000
Ge1 Ge 0.2272 0.5000 0.4125
O1 O 0.0000 0.5000 0.5000
O2 O 0.1051 0.0000 0.2794
O3 O 0.2403 0.3448 0.2174
```

5.
Structure and computed powder XRD pattern of Sm4Ge3O15 (the PBE geometry in the Materials Project; Cu Kα (weighted mean of Kα1 and Kα2)).
Kinematic intensities with the Lorentz-polarization factor, no thermal factor.

Largest 6 diffraction maxima, by angle, 2θ from 10° to 80°:
| 2theta | d [Å] | I_rel |
| --- | --- | --- |
| 22.69 | 3.919 | 92.2 |
| 24.80 | 3.591 | 93.0 |
| 27.87 | 3.201 | 68.6 |
| 29.73 | 3.005 | 50.4 |
| 32.28 | 2.773 | 100.0 |
| 33.86 | 2.647 | 59.4 |

Structure:
```
data_Sm4Ge3O15
_cell_length_a 15.6756
_cell_length_b 11.0199
_cell_length_c 7.1815
_cell_angle_alpha 90.00
_cell_angle_beta 90.00
_cell_angle_gamma 90.00
_symmetry_space_group_name_H-M 'C m c m'
_symmetry_Int_Tables_number 63
_symmetry_space_group_name_Hall '-C 2c 2'
loop_
_atom_site_label
_atom_site_type_symbol
_atom_site_fract_x
_atom_site_fract_y
_atom_site_fract_z
Sm1 Sm 0.1321 0.2049 0.2500
Sm2 Sm 0.1442 0.4469 0.7500
Ge1 Ge 0.0000 0.0000 0.0000
Ge2 Ge 0.1525 0.1181 0.7500
O1 O 0.0000 0.0674 0.2500
O2 O 0.0000 0.3909 0.2500
O3 O 0.0000 0.4025 0.7500
O4 O 0.0859 0.1213 0.5475
O5 O 0.1316 0.3768 0.0601
O6 O 0.2091 0.0198 0.2500
O7 O 0.2172 0.2487 0.7500
```